Diffraction record for VCrO3. The powder XRD pattern is computed, not measured: it uses a PBE+U-relaxed structure and Cu Kα (weighted mean of Kα1 and Kα2).
Kinematic intensities with the Lorentz-polarization factor, no thermal factor.

Structural model:
a = 5.4965 Å, b = 5.4965 Å, c = 8.8380 Å
α = 105.47°, β = 105.47°, γ = 55.67°
Element x y z (fractional)
V  0.0974  0.0974  0.1999
V  0.1582  0.1456  0.5501
V  0.8544  0.8418  0.4499
V  0.9026  0.9026  0.8001
Cr  0.3497  0.3526  0.9504
Cr  0.4008  0.3946  0.3005
Cr  0.6054  0.5992  0.6995
Cr  0.6474  0.6503  0.0496
O  0.3109  0.6891  0.5000
O  0.3489  0.6482  0.1513
O  0.3518  0.6511  0.8487
O  0.3998  0.0991  0.0978
O  0.4015  0.0971  0.4008
O  0.4479  0.0541  0.7498
O  0.7982  0.2018  0.0000
O  0.8471  0.1469  0.3478
O  0.8531  0.1529  0.6522
O  0.9009  0.6002  0.9022
O  0.9029  0.5985  0.5992
O  0.9459  0.5521  0.2502

The 8 most intense peaks (5 to 70 degrees two-theta), most intense first:
2θ = 32.74°, rel. 100; 2θ = 35.12°, rel. 56; 2θ = 53.30°, rel. 53; 2θ = 23.78°, rel. 37; 2θ = 34.96°, rel. 29; 2θ = 48.66°, rel. 28; 2θ = 62.81°, rel. 27; 2θ = 53.42°, rel. 26